No. 1
This entry pairs a crystal structure of AlAgO2 with its computed X-ray diffraction stick pattern. Radiation: λ = 1.5418 Å (Cu Kα). Structure: DFT lattice parameters and positions (GGA-PBE).

Top 6 peaks for 10° ≤ 2θ ≤ 80°, low angle first:
- (0 0 3), 14.45 deg, intensity 82
- (0 0 6), 29.14 deg, intensity 60
- (1 0 1), 36.12 deg, intensity 100
- (0 1 2), 37.13 deg, intensity 77
- (0 1 5), 43.66 deg, intensity 49
- (1 0 7), 50.28 deg, intensity 58

Atomic structure:
```
data_AlAgO2
_symmetry_space_group_name_H-M 'R 3 m'
_symmetry_Int_Tables_number 160
_symmetry_space_group_name_Hall 'R 3 -2"'
_cell_length_a 2.8979
_cell_length_b 2.8979
_cell_length_c 18.3877
_cell_angle_alpha 90.00
_cell_angle_beta 90.00
_cell_angle_gamma 120.00
loop_
_atom_site_label
_atom_site_fract_x
_atom_site_fract_y
_atom_site_fract_z
_atom_site_occupancy
Al1 0.0000 0.0000 0.0000 1
Ag1 0.0000 0.0000 0.1628 1
O1 0.0000 0.0000 0.2822 1
O2 0.0000 0.0000 0.7219 1
```



No. 2
This entry pairs a crystal structure of AlAgO2 with its computed X-ray diffraction stick pattern. Radiation: λ = 1.5418 Å (Cu Kα). Structure: DFT lattice parameters and positions (GGA-PBE).

Top 6 peaks for 10° ≤ 2θ ≤ 80°, low angle first:
- (0 1 1), 20.54 deg, intensity 60
- (0 0 2), 32.67 deg, intensity 73
- (1 2 1), 34.44 deg, intensity 100
- (1 1 2), 38.90 deg, intensity 38
- (1 3 0), 41.92 deg, intensity 21
- (1 2 3), 59.43 deg, intensity 33

Atomic structure:
```
data_AlAgO2
_symmetry_space_group_name_H-M 'P n a 21'
_symmetry_Int_Tables_number 33
_symmetry_space_group_name_Hall 'P 2c -2n'
_cell_length_a 5.4765
_cell_length_b 7.0326
_cell_length_c 5.4863
_cell_angle_alpha 90.00
_cell_angle_beta 90.00
_cell_angle_gamma 90.00
loop_
_atom_site_label
_atom_site_fract_x
_atom_site_fract_y
_atom_site_fract_z
_atom_site_occupancy
Al1 0.0635 0.1245 0.0000 1
Ag1 0.0549 0.6350 0.9986 1
O1 0.0308 0.0680 0.6861 1
O2 0.1242 0.6745 0.5638 1
```



No. 3
This entry pairs a crystal structure of AlAgO3 with its computed X-ray diffraction stick pattern. Radiation: λ = 1.5418 Å (Cu Kα). Structure: DFT lattice parameters and positions (GGA-PBE).

Top 6 peaks for 10° ≤ 2θ ≤ 80°, low angle first:
- (0 0 2), 15.30 deg, intensity 47
- (0 0 4), 30.89 deg, intensity 33
- (1 0 1), 31.27 deg, intensity 100
- (1 0 3), 38.39 deg, intensity 23
- (1 0 5), 50.06 deg, intensity 30
- (1 1 0), 53.79 deg, intensity 28

Atomic structure:
```
data_AlAgO3
_symmetry_space_group_name_H-M 'P 63/m m c'
_symmetry_Int_Tables_number 194
_symmetry_space_group_name_Hall '-P 6c 2c'
_cell_length_a 3.4083
_cell_length_b 3.4083
_cell_length_c 11.5791
_cell_angle_alpha 90.00
_cell_angle_beta 90.00
_cell_angle_gamma 120.00
loop_
_atom_site_label
_atom_site_fract_x
_atom_site_fract_y
_atom_site_fract_z
_atom_site_occupancy
Al1 0.0000 0.0000 0.0000 1
Ag1 0.3333 0.6667 0.2500 1
O1 0.0000 0.0000 0.2500 1
O2 0.3333 0.6667 0.0680 1
```